The following is a simulated powder X-ray diffraction pattern of VH12Cl3O6. It was derived from a cell relaxed with GGA+U, using Cu Kα (weighted mean of Kα1 and Kα2).
Neutral-atom scattering factors, no anomalous dispersion.

The 10 most intense peaks (5° ≤ 2θ ≤ 70°), in order of falling intensity:
hkl 1 1 -1, 20.10°, intensity 100
hkl 1 1 -3, 28.24°, intensity 71
hkl 2 0 2, 33.51°, intensity 59
hkl 0 1 1, 15.69°, intensity 56
hkl 0 2 0, 27.77°, intensity 55
hkl 0 0 2, 14.94°, intensity 55
hkl 1 0 0, 13.68°, intensity 52
hkl 1 1 1, 21.62°, intensity 49
hkl 1 0 -2, 18.69°, intensity 45
hkl 1 1 5, 44.91°, intensity 42

Atomic structure:
Lattice parameters (Å, degrees): 6.5504 6.4250 11.9977 90.00 98.79 90.00
Element x y z (fractional)
V (0.0000, 0.0000, 0.0000)
V (0.0000, 0.5000, 0.5000)
H (0.0191, 0.1338, 0.6186)
H (0.0191, 0.3662, 0.1186)
H (0.2099, 0.0963, 0.8307)
H (0.2099, 0.4037, 0.3307)
H (0.2108, 0.6459, 0.1947)
H (0.2108, 0.8541, 0.6947)
H (0.2155, 0.6554, 0.9531)
H (0.2155, 0.8446, 0.4531)
H (0.3118, 0.2368, 0.9394)
H (0.3118, 0.2632, 0.4394)
H (0.3369, 0.0499, 0.6716)
H (0.3369, 0.4501, 0.1716)
H (0.6631, 0.5499, 0.8284)
H (0.6631, 0.9501, 0.3284)
H (0.6882, 0.7368, 0.5606)
H (0.6882, 0.7632, 0.0606)
H (0.7845, 0.1554, 0.5469)
H (0.7845, 0.3446, 0.0469)
H (0.7892, 0.1459, 0.3053)
H (0.7892, 0.3541, 0.8053)
H (0.7901, 0.5963, 0.6693)
H (0.7901, 0.9037, 0.1693)
H (0.9809, 0.6338, 0.8814)
H (0.9809, 0.8662, 0.3814)
Cl (0.2722, 0.5339, 0.6578)
Cl (0.2722, 0.9661, 0.1578)
Cl (0.5000, 0.0000, 0.5000)
Cl (0.5000, 0.5000, 0.0000)
Cl (0.7278, 0.0339, 0.8422)
Cl (0.7278, 0.4661, 0.3422)
O (0.0784, 0.7233, 0.9337)
O (0.0784, 0.7767, 0.4337)
O (0.1933, 0.1477, 0.9082)
O (0.1933, 0.3523, 0.4082)
O (0.2113, 0.0087, 0.7016)
O (0.2113, 0.4913, 0.2016)
O (0.7887, 0.5087, 0.7984)
O (0.7887, 0.9913, 0.2984)
O (0.8067, 0.6477, 0.5918)
O (0.8067, 0.8523, 0.0918)
O (0.9216, 0.2233, 0.5663)
O (0.9216, 0.2767, 0.0663)


The following is a simulated powder X-ray diffraction pattern of Ca3WCl2O5. It was derived from a cell relaxed with GGA+U, using Cu Kα (weighted mean of Kα1 and Kα2).
Neutral-atom scattering factors, no anomalous dispersion.

The 10 most intense peaks (5° ≤ 2θ ≤ 70°), in order of falling intensity:
hkl 3 1 2, 31.69°, intensity 100
hkl 1 1 1, 19.00°, intensity 74
hkl 1 0 2, 17.39°, intensity 57
hkl 2 0 0, 14.84°, intensity 55
hkl 0 1 3, 28.45°, intensity 47
hkl 1 2 4, 45.95°, intensity 39
hkl 0 2 0, 31.48°, intensity 35
hkl 2 1 0, 21.61°, intensity 22
hkl 1 0 4, 32.59°, intensity 22
hkl 2 1 2, 26.80°, intensity 21

Atomic structure:
Lattice parameters (Å, degrees): 11.9404 5.6832 11.2935 90.00 90.00 90.00
Element x y z (fractional)
Ca (0.1396, 0.2500, 0.1652)
Ca (0.1591, 0.7500, 0.4198)
Ca (0.1672, 0.2500, 0.6701)
Ca (0.3328, 0.7500, 0.1701)
Ca (0.3409, 0.2500, 0.9198)
Ca (0.3604, 0.7500, 0.6652)
Ca (0.6396, 0.2500, 0.3348)
Ca (0.6591, 0.7500, 0.0802)
Ca (0.6672, 0.2500, 0.8299)
Ca (0.8328, 0.7500, 0.3299)
Ca (0.8409, 0.2500, 0.5802)
Ca (0.8604, 0.7500, 0.8348)
W (0.1924, 0.7500, 0.9150)
W (0.3076, 0.2500, 0.4150)
W (0.6924, 0.7500, 0.5850)
W (0.8076, 0.2500, 0.0850)
Cl (0.0229, 0.2500, 0.4161)
Cl (0.0332, 0.7500, 0.2155)
Cl (0.4668, 0.2500, 0.7155)
Cl (0.4771, 0.7500, 0.9161)
Cl (0.5229, 0.2500, 0.0839)
Cl (0.5332, 0.7500, 0.2845)
Cl (0.9668, 0.2500, 0.7845)
Cl (0.9771, 0.7500, 0.5839)
O (0.0438, 0.7500, 0.9091)
O (0.2361, 0.5170, 0.0327)
O (0.2361, 0.9830, 0.0327)
O (0.2418, 0.5216, 0.7999)
O (0.2418, 0.9784, 0.7999)
O (0.2582, 0.0216, 0.2999)
O (0.2582, 0.4784, 0.2999)
O (0.2639, 0.0170, 0.5327)
O (0.2639, 0.4830, 0.5327)
O (0.4562, 0.2500, 0.4091)
O (0.5438, 0.7500, 0.5909)
O (0.7361, 0.5170, 0.4673)
O (0.7361, 0.9830, 0.4673)
O (0.7418, 0.5216, 0.7001)
O (0.7418, 0.9784, 0.7001)
O (0.7582, 0.0216, 0.2001)
O (0.7582, 0.4784, 0.2001)
O (0.7639, 0.0170, 0.9673)
O (0.7639, 0.4830, 0.9673)
O (0.9562, 0.2500, 0.0909)


The following is a simulated powder X-ray diffraction pattern of NaCr3O8. It was derived from a cell relaxed with GGA+U, using Cu Kα (weighted mean of Kα1 and Kα2).
Neutral-atom scattering factors, no anomalous dispersion.

The 10 most intense peaks (5° ≤ 2θ ≤ 70°), in order of falling intensity:
hkl 1 1 1, 23.12°, intensity 100
hkl 2 1 1, 32.76°, intensity 67
hkl 1 2 0, 24.44°, intensity 62
hkl 0 3 1, 34.99°, intensity 42
hkl 1 1 0, 16.68°, intensity 35
hkl 0 0 2, 32.11°, intensity 32
hkl 2 4 2, 60.74°, intensity 28
hkl 2 2 2, 47.26°, intensity 14
hkl 2 4 0, 50.08°, intensity 14
hkl 2 1 3, 57.65°, intensity 12

Atomic structure:
Lattice parameters (Å, degrees): 6.7286 8.6648 5.5759 90.00 90.00 90.00
Element x y z (fractional)
Na (0.0000, 0.0000, 0.0000)
Na (0.5000, 0.5000, 0.5000)
Cr (0.0000, 0.5000, 0.5000)
Cr (0.2235, 0.3516, 0.0000)
Cr (0.2765, 0.8516, 0.5000)
Cr (0.5000, 0.0000, 0.0000)
Cr (0.7235, 0.1484, 0.5000)
Cr (0.7765, 0.6484, 0.0000)
O (0.0225, 0.2542, 0.0000)
O (0.0793, 0.7314, 0.5000)
O (0.2159, 0.4640, 0.2515)
O (0.2159, 0.4640, 0.7485)
O (0.2841, 0.9640, 0.2485)
O (0.2841, 0.9640, 0.7515)
O (0.4207, 0.2314, 0.0000)
O (0.4775, 0.7542, 0.5000)
O (0.5225, 0.2458, 0.5000)
O (0.5793, 0.7686, 0.0000)
O (0.7159, 0.0360, 0.2485)
O (0.7159, 0.0360, 0.7515)
O (0.7841, 0.5360, 0.2515)
O (0.7841, 0.5360, 0.7485)
O (0.9207, 0.2686, 0.5000)
O (0.9775, 0.7458, 0.0000)


The following is a simulated powder X-ray diffraction pattern of LiFe8O16. It was derived from a cell relaxed with GGA+U, using Cu Kα (weighted mean of Kα1 and Kα2).
Neutral-atom scattering factors, no anomalous dispersion.

The 10 most intense peaks (5° ≤ 2θ ≤ 70°), in order of falling intensity:
hkl 1 0 1, 12.03°, intensity 100
hkl 2 1 1, 35.98°, intensity 56
hkl 2 0 0, 17.11°, intensity 41
hkl 0 0 2, 16.97°, intensity 39
hkl 3 0 -1, 27.17°, intensity 24
hkl 1 0 3, 27.02°, intensity 24
hkl 4 1 -1, 47.46°, intensity 18
hkl 1 1 4, 47.26°, intensity 17
hkl 2 1 5, 56.81°, intensity 17
hkl 5 1 -2, 57.05°, intensity 16

Atomic structure:
Lattice parameters (Å, degrees): 10.3640 2.9570 10.4481 90.00 90.16 90.00
Element x y z (fractional)
Li (0.0000, 0.0000, 0.0000)
Fe (0.1633, 0.7163, 0.8314)
Fe (0.1714, 0.2358, 0.1625)
Fe (0.3324, 0.7282, 0.3588)
Fe (0.3566, 0.2235, 0.6672)
Fe (0.6434, 0.2235, 0.3328)
Fe (0.6676, 0.7282, 0.6412)
Fe (0.8286, 0.2358, 0.8375)
Fe (0.8367, 0.7163, 0.1686)
O (0.0414, 0.7301, 0.1593)
O (0.1640, 0.2188, 0.7128)
O (0.1654, 0.2213, 0.9593)
O (0.2104, 0.2299, 0.3551)
O (0.2908, 0.7323, 0.1667)
O (0.3407, 0.7250, 0.5476)
O (0.3565, 0.7221, 0.7881)
O (0.4532, 0.2270, 0.3455)
O (0.5468, 0.2270, 0.6545)
O (0.6435, 0.7221, 0.2119)
O (0.6593, 0.7250, 0.4524)
O (0.7092, 0.7323, 0.8333)
O (0.7896, 0.2299, 0.6449)
O (0.8346, 0.2213, 0.0407)
O (0.8360, 0.2188, 0.2872)
O (0.9586, 0.7301, 0.8407)


The following is a simulated powder X-ray diffraction pattern of RbMnCl3O2. It was derived from a cell relaxed with GGA+U, using Cu Kα (weighted mean of Kα1 and Kα2).
Neutral-atom scattering factors, no anomalous dispersion.

The 10 most intense peaks (5° ≤ 2θ ≤ 70°), in order of falling intensity:
hkl 1 2 2, 31.54°, intensity 100
hkl 3 0 2, 33.10°, intensity 73
hkl 1 0 2, 18.58°, intensity 52
hkl 0 0 2, 15.92°, intensity 49
hkl 2 1 0, 22.92°, intensity 49
hkl 2 2 0, 31.87°, intensity 45
hkl 2 2 4, 45.90°, intensity 44
hkl 4 2 0, 46.81°, intensity 35
hkl 2 0 4, 37.67°, intensity 24
hkl 0 1 2, 20.32°, intensity 24

Atomic structure:
Lattice parameters (Å, degrees): 9.2917 7.0503 11.1348 90.00 90.00 90.00
Element x y z (fractional)
Rb (0.2500, 0.0000, 0.1360)
Rb (0.2500, 0.0000, 0.6360)
Rb (0.7500, 0.0000, 0.3640)
Rb (0.7500, 0.0000, 0.8640)
Mn (0.0000, 0.4413, 0.2500)
Mn (0.0000, 0.5587, 0.7500)
Mn (0.5000, 0.4413, 0.7500)
Mn (0.5000, 0.5587, 0.2500)
Cl (0.0786, 0.2276, 0.3928)
Cl (0.0786, 0.7724, 0.8928)
Cl (0.2500, 0.5000, 0.1520)
Cl (0.2500, 0.5000, 0.6520)
Cl (0.4214, 0.2276, 0.8928)
Cl (0.4214, 0.7724, 0.3928)
Cl (0.5786, 0.2276, 0.6072)
Cl (0.5786, 0.7724, 0.1072)
Cl (0.7500, 0.5000, 0.3480)
Cl (0.7500, 0.5000, 0.8480)
Cl (0.9214, 0.2276, 0.1072)
Cl (0.9214, 0.7724, 0.6072)
O (0.0294, 0.2792, 0.8032)
O (0.0294, 0.7208, 0.3032)
O (0.4706, 0.2792, 0.3032)
O (0.4706, 0.7208, 0.8032)
O (0.5294, 0.2792, 0.1968)
O (0.5294, 0.7208, 0.6968)
O (0.9706, 0.2792, 0.6968)
O (0.9706, 0.7208, 0.1968)